(1)
This entry pairs a crystal structure of K3VTe3 with its computed powder X-ray diffraction pattern. Radiation: Cu Kα. Structure: DFT lattice parameters and positions (GGA-PBE).
Intensities are scaled so that the largest is 100.

Structural model:
```
K3VTe3
1.0
9.835 0.000 0.000
0.000 8.581 0.000
-1.971 0.000 13.415
K V Te
12 4 12
direct
0.083 0.168 0.123
0.083 0.332 0.623
0.301 0.721 0.786
0.301 0.779 0.286
0.399 0.232 0.921
0.399 0.268 0.421
0.601 0.732 0.579
0.601 0.768 0.079
0.699 0.221 0.714
0.699 0.279 0.214
0.917 0.668 0.377
0.917 0.832 0.877
0.173 0.579 0.045
0.173 0.921 0.545
0.827 0.079 0.455
0.827 0.421 0.955
0.066 0.071 0.378
0.066 0.429 0.878
0.250 0.633 0.519
0.250 0.867 0.019
0.369 0.069 0.657
0.369 0.431 0.157
0.631 0.569 0.843
0.631 0.931 0.343
0.750 0.133 0.981
0.750 0.367 0.481
0.934 0.571 0.122
0.934 0.929 0.622
```

The 6 most intense peaks (2θ = 5–70°), most intense first:
| d/Å | intensity |
| --- | --- |
| 3.829 | 100 |
| 3.897 | 81 |
| 3.965 | 69 |
| 2.504 | 67 |
| 3.099 | 57 |
| 3.034 | 57 |

***

(2)
This entry pairs a crystal structure of K5V2Te6 with its computed powder X-ray diffraction pattern. Radiation: Cu Kα. Structure: DFT lattice parameters and positions (GGA-PBE).
Intensities are scaled so that the largest is 100.

Structural model:
```
K5V2Te6
1.0
6.926 -4.365 0.000
6.926 4.365 0.000
-4.056 0.000 17.596
K V Te
10 4 12
direct
0.130 0.870 0.750
0.180 0.697 0.001
0.236 0.439 0.268
0.303 0.820 0.499
0.439 0.236 0.768
0.561 0.764 0.232
0.697 0.180 0.501
0.764 0.561 0.732
0.820 0.303 0.999
0.870 0.130 0.250
0.116 0.423 0.564
0.423 0.116 0.064
0.577 0.884 0.936
0.884 0.577 0.436
0.086 0.192 0.635
0.172 0.271 0.426
0.192 0.086 0.135
0.271 0.172 0.926
0.391 0.494 0.625
0.494 0.391 0.125
0.506 0.609 0.875
0.609 0.506 0.375
0.729 0.828 0.074
0.808 0.914 0.865
0.828 0.729 0.574
0.914 0.808 0.365
```

The 6 most intense peaks (2θ = 5–70°), most intense first:
| d/Å | intensity |
| --- | --- |
| 3.395 | 100 |
| 3.306 | 84 |
| 7.080 | 76 |
| 4.365 | 71 |
| 3.098 | 62 |
| 3.999 | 52 |

***

(3)
This entry pairs a crystal structure of KVTe4 with its computed powder X-ray diffraction pattern. Radiation: Cu Kα. Structure: DFT lattice parameters and positions (GGA-PBE).
Intensities are scaled so that the largest is 100.

Structural model:
```
KVTe4
1.0
7.974 -4.308 0.000
7.974 4.308 0.000
-0.497 0.000 5.947
K V Te
2 2 8
direct
0.178 0.178 0.211
0.822 0.822 0.789
0.484 0.484 0.714
0.516 0.516 0.286
0.190 0.588 0.389
0.249 0.751 0.000
0.313 0.313 0.741
0.412 0.810 0.611
0.588 0.190 0.389
0.687 0.687 0.259
0.751 0.249 0.000
0.810 0.412 0.611
```

The 6 most intense peaks (2θ = 5–70°), most intense first:
| d/Å | intensity |
| --- | --- |
| 7.575 | 100 |
| 3.139 | 84 |
| 3.183 | 77 |
| 2.688 | 59 |
| 3.787 | 50 |
| 2.864 | 47 |

***

(4)
This entry pairs a crystal structure of KY2ZnTe4 with its computed powder X-ray diffraction pattern. Radiation: Cu Kα. Structure: DFT lattice parameters and positions (GGA-PBE).
Intensities are scaled so that the largest is 100.

Structural model:
```
KY2ZnTe4
1.0
2.202 -7.578 0.000
2.202 7.578 0.000
0.000 0.000 15.677
K Y Zn Te
2 4 2 8
direct
0.120 0.880 0.750
0.880 0.120 0.250
0.372 0.628 0.556
0.372 0.628 0.944
0.628 0.372 0.056
0.628 0.372 0.444
0.161 0.839 0.250
0.839 0.161 0.750
0.000 0.000 0.000
0.000 0.000 0.500
0.265 0.735 0.112
0.265 0.735 0.388
0.439 0.561 0.750
0.561 0.439 0.250
0.735 0.265 0.612
0.735 0.265 0.888
```

The 6 most intense peaks (2θ = 5–70°), most intense first:
| d/Å | intensity |
| --- | --- |
| 3.057 | 100 |
| 3.247 | 87 |
| 3.481 | 81 |
| 2.253 | 63 |
| 6.823 | 45 |
| 2.202 | 41 |

***

(5)
This entry pairs a crystal structure of K2Zn2Te with its computed powder X-ray diffraction pattern. Radiation: Cu Kα. Structure: DFT lattice parameters and positions (GGA-PBE).
Intensities are scaled so that the largest is 100.

Structural model:
```
K2Zn2Te
1.0
7.940 0.000 0.000
0.000 7.940 0.000
0.000 0.000 5.091
K Zn Te
4 4 2
direct
0.190 0.310 0.000
0.310 0.810 0.000
0.690 0.190 0.000
0.810 0.690 0.000
0.114 0.614 0.500
0.386 0.114 0.500
0.614 0.886 0.500
0.886 0.386 0.500
0.000 0.000 0.500
0.500 0.500 0.500
```

The 6 most intense peaks (2θ = 5–70°), most intense first:
| d/Å | intensity |
| --- | --- |
| 3.130 | 100 |
| 2.912 | 85 |
| 5.091 | 66 |
| 2.511 | 58 |
| 2.252 | 48 |
| 2.545 | 42 |

***

(6)
This entry pairs a crystal structure of KZnTe with its computed powder X-ray diffraction pattern. Radiation: Cu Kα. Structure: DFT lattice parameters and positions (GGA-PBE).
Intensities are scaled so that the largest is 100.

Structural model:
```
KZnTe
1.0
5.542 -4.092 0.000
5.542 4.092 0.000
-2.894 0.000 8.916
K Zn Te
4 4 4
direct
0.084 0.916 0.500
0.520 0.817 0.225
0.817 0.520 0.725
0.916 0.084 0.000
0.023 0.410 0.357
0.325 0.362 0.558
0.362 0.325 0.058
0.410 0.023 0.857
0.022 0.601 0.137
0.319 0.659 0.820
0.601 0.022 0.637
0.659 0.319 0.320
```

The 6 most intense peaks (2θ = 5–70°), most intense first:
| d/Å | intensity |
| --- | --- |
| 4.818 | 100 |
| 3.241 | 94 |
| 2.918 | 77 |
| 4.086 | 51 |
| 2.793 | 50 |
| 2.199 | 43 |

***

(7)
This entry pairs a crystal structure of K6ZnTe4 with its computed powder X-ray diffraction pattern. Radiation: Cu Kα. Structure: DFT lattice parameters and positions (GGA-PBE).
Intensities are scaled so that the largest is 100.

Structural model:
```
K6ZnTe4
1.0
10.992 0.000 0.000
-5.496 9.519 0.000
0.000 0.000 8.402
K Zn Te
12 2 8
direct
0.047 0.524 0.000
0.148 0.297 0.314
0.148 0.852 0.314
0.297 0.148 0.814
0.476 0.524 0.000
0.476 0.953 0.000
0.524 0.047 0.500
0.524 0.476 0.500
0.703 0.852 0.314
0.852 0.148 0.814
0.852 0.703 0.814
0.953 0.476 0.500
0.333 0.667 0.618
0.667 0.333 0.118
0.196 0.391 0.717
0.196 0.804 0.717
0.333 0.667 0.288
0.391 0.196 0.217
0.609 0.804 0.717
0.667 0.333 0.788
0.804 0.196 0.217
0.804 0.609 0.217
```

The 6 most intense peaks (2θ = 5–70°), most intense first:
| d/Å | intensity |
| --- | --- |
| 2.748 | 100 |
| 3.150 | 95 |
| 4.141 | 83 |
| 9.519 | 64 |
| 2.968 | 56 |
| 3.307 | 48 |

***

(8)
This entry pairs a crystal structure of KZr2Te with its computed powder X-ray diffraction pattern. Radiation: Cu Kα. Structure: DFT lattice parameters and positions (GGA-PBE).
Intensities are scaled so that the largest is 100.

Structural model:
```
KZr2Te
1.0
4.938 -1.758 0.000
4.938 1.758 0.000
-1.021 0.000 7.544
K Zr Te
1 2 1
direct
0.000 0.000 0.000
0.527 0.527 0.483
0.787 0.787 0.386
0.250 0.250 0.687
```

The 6 most intense peaks (2θ = 5–70°), most intense first:
| d/Å | intensity |
| --- | --- |
| 7.544 | 100 |
| 2.981 | 63 |
| 2.347 | 41 |
| 2.434 | 27 |
| 3.202 | 26 |
| 2.447 | 21 |

***

(9)
This entry pairs a crystal structure of KZr4Te with its computed powder X-ray diffraction pattern. Radiation: Cu Kα. Structure: DFT lattice parameters and positions (GGA-PBE).
Intensities are scaled so that the largest is 100.

Structural model:
```
KZr4Te
1.0
0.000 4.314 4.314
4.314 0.000 4.314
4.314 4.314 0.000
K Zr Te
1 4 1
direct
0.000 0.000 0.000
0.372 0.372 0.372
0.372 0.372 0.884
0.372 0.884 0.372
0.884 0.372 0.372
0.750 0.750 0.750
```

The 6 most intense peaks (2θ = 5–70°), most intense first:
| d/Å | intensity |
| --- | --- |
| 2.601 | 100 |
| 2.491 | 45 |
| 1.660 | 34 |
| 1.525 | 28 |
| 3.050 | 23 |
| 4.981 | 13 |